[1]
# CaZrPd
Calculated X-ray diffraction stick pattern, Cu Kα. Input: DFT lattice parameters and positions (PBE).
Neutral-atom scattering factors, no anomalous dispersion.

Structural model:
a b c (Å): 3.791 4.658 8.160
angles (deg): 90.00 90.00 90.00
Sites, in units of the cell vectors:
Ca1 0.250 0.250 0.144
Ca2 0.750 0.750 0.856
Zr1 0.250 0.750 0.487
Zr2 0.750 0.250 0.513
Pd1 0.250 0.250 0.756
Pd2 0.750 0.750 0.244

Principal peaks in the range 2θ = 10–90°, low angle first:
2θ = 10.8°, 8.160 Å, rel. 44
2θ = 22.0°, 4.045 Å, rel. 32
2θ = 32.4°, 2.766 Å, rel. 53
2θ = 32.9°, 2.720 Å, rel. 16
2θ = 37.7°, 2.386 Å, rel. 100
2θ = 38.7°, 2.329 Å, rel. 31
2θ = 40.8°, 2.210 Å, rel. 20
2θ = 48.0°, 1.896 Å, rel. 17
2θ = 57.5°, 1.603 Å, rel. 14
2θ = 69.3°, 1.355 Å, rel. 16

---

[2]
# CaZrPd
Calculated X-ray diffraction stick pattern, Cu Kα. Input: DFT lattice parameters and positions (PBE).
Neutral-atom scattering factors, no anomalous dispersion.

Structural model:
a b c (Å): 3.388 3.388 12.229
angles (deg): 90.00 90.00 90.00
Sites, in units of the cell vectors:
Ca1 0.000 0.000 0.000
Ca2 0.000 0.000 0.299
Zr1 0.000 0.000 0.704
Zr2 0.500 0.500 0.539
Pd1 0.500 0.500 0.152
Pd2 0.500 0.500 0.826

Principal peaks in the range 2θ = 10–90°, low angle first:
2θ = 14.5°, 6.114 Å, rel. 16
2θ = 26.3°, 3.388 Å, rel. 9
2θ = 34.4°, 2.606 Å, rel. 100
2θ = 37.5°, 2.396 Å, rel. 50
2θ = 39.7°, 2.270 Å, rel. 18
2θ = 52.4°, 1.747 Å, rel. 8
2θ = 54.1°, 1.694 Å, rel. 17
2θ = 59.5°, 1.552 Å, rel. 10
2θ = 65.7°, 1.420 Å, rel. 28
2θ = 66.2°, 1.412 Å, rel. 9

---

[3]
# Ca5Pm3
Calculated X-ray diffraction stick pattern, Cu Kα. Input: DFT lattice parameters and positions (PBE).
Neutral-atom scattering factors, no anomalous dispersion.

Structural model:
a b c (Å): 3.768 3.768 25.205
angles (deg): 94.31 94.31 59.99
Sites, in units of the cell vectors:
Ca1 0.000 0.000 0.000
Ca2 0.242 0.242 0.741
Ca3 0.379 0.379 0.129
Ca4 0.621 0.621 0.871
Ca5 0.758 0.758 0.259
Pm1 0.129 0.129 0.384
Pm2 0.500 0.500 0.500
Pm3 0.871 0.871 0.616

Principal peaks in the range 2θ = 10–90°, low angle first:
2θ = 28.4°, 3.139 Å, rel. 31
2θ = 29.0°, 3.083 Å, rel. 100
2θ = 30.3°, 2.946 Å, rel. 21
2θ = 32.1°, 2.790 Å, rel. 15
2θ = 33.4°, 2.682 Å, rel. 65
2θ = 35.6°, 2.520 Å, rel. 17
2θ = 47.6°, 1.909 Å, rel. 19
2θ = 48.3°, 1.884 Å, rel. 24
2θ = 57.0°, 1.615 Å, rel. 25
2θ = 60.0°, 1.542 Å, rel. 17

---

[4]
# Ca3Pm5
Calculated X-ray diffraction stick pattern, Cu Kα. Input: DFT lattice parameters and positions (PBE).
Neutral-atom scattering factors, no anomalous dispersion.

Structural model:
a b c (Å): 3.711 3.711 24.769
angles (deg): 94.07 94.07 60.05
Sites, in units of the cell vectors:
Ca1 0.000 0.000 0.000
Ca2 0.385 0.385 0.133
Ca3 0.615 0.615 0.867
Pm1 0.131 0.131 0.379
Pm2 0.238 0.238 0.738
Pm3 0.500 0.500 0.500
Pm4 0.762 0.762 0.262
Pm5 0.869 0.869 0.621

Principal peaks in the range 2θ = 10–90°, low angle first:
2θ = 28.9°, 3.086 Å, rel. 30
2θ = 29.4°, 3.037 Å, rel. 100
2θ = 30.8°, 2.901 Å, rel. 16
2θ = 33.9°, 2.644 Å, rel. 42
2θ = 34.0°, 2.634 Å, rel. 22
2θ = 36.2°, 2.483 Å, rel. 11
2θ = 48.5°, 1.876 Å, rel. 13
2θ = 49.1°, 1.856 Å, rel. 24
2θ = 57.9°, 1.592 Å, rel. 16
2θ = 61.0°, 1.519 Å, rel. 16

---

[5]
# CaPm11
Calculated X-ray diffraction stick pattern, Cu Kα. Input: DFT lattice parameters and positions (PBE).
Neutral-atom scattering factors, no anomalous dispersion.

Structural model:
a b c (Å): 11.612 11.612 3.601
angles (deg): 90.00 90.00 120.00
Sites, in units of the cell vectors:
Ca1 0.000 0.000 0.000
Pm1 0.000 0.500 0.000
Pm2 0.177 0.354 0.500
Pm3 0.177 0.823 0.500
Pm4 0.333 0.667 0.000
Pm5 0.354 0.177 0.500
Pm6 0.500 0.000 0.000
Pm7 0.500 0.500 0.000
Pm8 0.646 0.823 0.500
Pm9 0.667 0.333 0.000
Pm10 0.823 0.177 0.500
Pm11 0.823 0.646 0.500

Principal peaks in the range 2θ = 10–90°, low angle first:
2θ = 26.3°, 3.390 Å, rel. 13
2θ = 29.2°, 3.060 Å, rel. 20
2θ = 30.5°, 2.928 Å, rel. 47
2θ = 30.8°, 2.903 Å, rel. 100
2θ = 34.3°, 2.614 Å, rel. 32
2θ = 43.9°, 2.061 Å, rel. 16
2θ = 54.6°, 1.681 Å, rel. 16
2θ = 54.8°, 1.676 Å, rel. 18
2θ = 60.5°, 1.530 Å, rel. 29
2θ = 77.9°, 1.227 Å, rel. 12

---

[6]
# Ca3Pm4
Calculated X-ray diffraction stick pattern, Cu Kα. Input: DFT lattice parameters and positions (PBE).
Neutral-atom scattering factors, no anomalous dispersion.

Structural model:
a b c (Å): 18.847 18.847 18.847
angles (deg): 168.63 168.63 16.11
Sites, in units of the cell vectors:
Ca1 0.000 0.000 0.000
Ca2 0.289 0.289 0.000
Ca3 0.711 0.711 0.000
Pm1 0.137 0.137 0.000
Pm2 0.426 0.426 0.000
Pm3 0.574 0.574 0.000
Pm4 0.863 0.863 0.000

Principal peaks in the range 2θ = 10–90°, low angle first:
2θ = 24.9°, 3.577 Å, rel. 12
2θ = 29.2°, 3.059 Å, rel. 100
2θ = 33.6°, 2.666 Å, rel. 16
2θ = 33.9°, 2.641 Å, rel. 35
2θ = 35.8°, 2.511 Å, rel. 13
2θ = 48.5°, 1.876 Å, rel. 22
2θ = 48.8°, 1.867 Å, rel. 13
2θ = 57.4°, 1.605 Å, rel. 11
2θ = 57.8°, 1.594 Å, rel. 28
2θ = 60.5°, 1.530 Å, rel. 11